Entry 1:
Diffraction record for Dy7HoSc3. The powder X-ray diffraction pattern is simulated, not measured: it uses DFT lattice parameters and positions (PBE) and Cu Ka.
No peak broadening, texture or thermal motion is included.

Structure:
Cell lengths 9.5818, 9.5818, 10.9412 Å; angles 90.17, 90.17, 138.88 degrees
Atoms (fractional coordinates):
Dy: 0.0868 0.4119 0.0368
Dy: 0.0895 0.4145 0.4634
Dy: 0.1640 0.3453 0.7499
Dy: 0.2445 0.2445 0.2495
Dy: 0.3453 0.1640 0.7499
Dy: 0.4119 0.0868 0.0368
Dy: 0.4145 0.0895 0.4634
Dy: 0.5855 0.9105 0.5366
Dy: 0.5881 0.9132 0.9632
Dy: 0.6547 0.8360 0.2501
Dy: 0.7555 0.7555 0.7505
Dy: 0.8360 0.6547 0.2501
Dy: 0.9105 0.5855 0.5366
Dy: 0.9132 0.5881 0.9632
Ho: 0.0000 0.0000 0.5000
Ho: 0.5000 0.5000 0.0000
Sc: 0.0000 0.0000 0.0000
Sc: 0.2472 0.7499 0.2503
Sc: 0.2501 0.7528 0.7497
Sc: 0.5000 0.5000 0.5000
Sc: 0.7499 0.2472 0.2503
Sc: 0.7528 0.2501 0.7497

Main lines, most intense first (2θ = 10–90°):
two_theta	I/Imax
34.2	100
29.4	83
32.7	79
32.9	79
32.7	74
31.6	65
26.5	63
33.3	55
38.5	33
28.4	33
31.8	28
19.0	26

Entry 2:
Diffraction record for Dy5Ho2Sc. The powder X-ray diffraction pattern is simulated, not measured: it uses DFT lattice parameters and positions (PBE) and Cu Ka.
No peak broadening, texture or thermal motion is included.

Structure:
Cell lengths 8.3310, 7.1517, 6.6174 Å; angles 74.35, 55.75, 49.89 degrees
Atoms (fractional coordinates):
Dy: 0.0000 0.0000 0.0000
Dy: 0.0839 0.0839 0.4161
Dy: 0.5047 0.9991 0.4953
Dy: 0.5839 0.5839 0.9161
Dy: 0.9991 0.5047 0.0009
Ho: 0.0904 0.5817 0.4183
Ho: 0.5817 0.0904 0.9096
Sc: 0.5010 0.5010 0.4990

Main lines, most intense first (2θ = 10–90°):
two_theta	I/Imax
33.1	100
28.8	25
32.1	24
61.7	22
57.9	20
51.1	20
62.2	16
43.7	16
84.6	14
89.1	8
80.8	8
16.4	4

Please write out number 2 again, unchanged.
Diffraction record for Dy5Ho2Sc. The powder X-ray diffraction pattern is simulated, not measured: it uses DFT lattice parameters and positions (PBE) and Cu Ka.
No peak broadening, texture or thermal motion is included.

Structure:
Cell lengths 8.3310, 7.1517, 6.6174 Å; angles 74.35, 55.75, 49.89 degrees
Atoms (fractional coordinates):
Dy: 0.0000 0.0000 0.0000
Dy: 0.0839 0.0839 0.4161
Dy: 0.5047 0.9991 0.4953
Dy: 0.5839 0.5839 0.9161
Dy: 0.9991 0.5047 0.0009
Ho: 0.0904 0.5817 0.4183
Ho: 0.5817 0.0904 0.9096
Sc: 0.5010 0.5010 0.4990

Main lines, most intense first (2θ = 10–90°):
two_theta	I/Imax
33.1	100
28.8	25
32.1	24
61.7	22
57.9	20
51.1	20
62.2	16
43.7	16
84.6	14
89.1	8
80.8	8
16.4	4

- Which formula does entry 1 have?
  Dy7HoSc3